Cs2TaMnO6: calculated powder XRD pattern (copper Kα), based on a DFT-relaxed cell (PBE+U, Alexandria).
Kinematic intensities with the Lorentz-polarization factor, no thermal factor.

Cell and atoms:
abc: 6.6452 6.6452 5.2666
angles: 90.00 90.00 120.00
Positions (direct):
Cs 0.3333 0.6667 0.3099
Cs 0.6667 0.3333 0.6901
Ta 0.0000 0.0000 0.0000
Mn 0.0000 0.0000 0.5000
O 0.1287 0.2574 0.7419
O 0.1287 0.8713 0.7419
O 0.2574 0.1287 0.2581
O 0.7426 0.8713 0.7419
O 0.8713 0.1287 0.2581
O 0.8713 0.7426 0.2581

Principal peaks in the range 2θ from 10° to 80°, low angle first:
15.40°, 5.755 Å, I 39, hkl 1 0 0
22.89°, 3.885 Å, I 84, hkl 0 1 1
26.83°, 3.323 Å, I 100, hkl 1 1 0
35.55°, 2.525 Å, I 45, hkl 2 0 1
37.56°, 2.395 Å, I 38, hkl 1 0 2
54.73°, 1.677 Å, I 36, hkl 2 1 2